This entry pairs a crystal structure of PrDyYIn with its theoretical PXRD pattern. Radiation: Cu Kα (λ = 1.5418 Å). Structure: a PBE-relaxed structure.
Neutral-atom scattering factors, no anomalous dispersion.

Peak list (6 most intense, 15 to 90 degrees two-theta, in order of rising 2θ)
(2 2 0), 32.38 deg, intensity 100; (4 0 0), 46.44 deg, intensity 18; (4 2 2), 57.75 deg, intensity 38; (4 4 0), 67.78 deg, intensity 12; (6 2 0), 77.13 deg, intensity 16; (4 4 4), 86.14 deg, intensity 4

Atomic structure:
a = 7.8211 Å, b = 7.8211 Å, c = 7.8211 Å
α = 90.00°, β = 90.00°, γ = 90.00°
Space group F-43m (No. 216)
Asymmetric unit:
Pr1 0.0000 0.0000 0.0000 x4
Dy1 0.2500 0.2500 0.7500 x4
Y1 0.0000 0.0000 0.5000 x4
In1 0.2500 0.2500 0.2500 x4